1.
This entry pairs a crystal structure of Li4MnSn3P4O16 with its simulated powder XRD pattern. Radiation: CuKα. Structure: a PBE+U-relaxed structure.
Intensities are scaled so that the largest is 1000.

Structural model:
Lattice parameters (Å, degrees): 4.8815 6.8213 10.9657 90.00 91.24 90.00
Fractional positions:
Li 0.0000 0.2210 0.0000
Li 0.0000 0.7790 0.0000
Li 0.4497 0.2607 0.4902
Li 0.4497 0.7393 0.4902
Mn 0.8981 0.5000 0.2769
Sn 0.0070 0.0000 0.7027
Sn 0.4069 0.0000 0.2137
Sn 0.4906 0.5000 0.7853
P 0.0381 0.5000 0.5640
P 0.3233 0.5000 0.0982
P 0.5788 0.0000 0.9260
P 0.8470 0.0000 0.4158
O 0.1602 0.0000 0.4299
O 0.1620 0.3190 0.6354
O 0.1620 0.6810 0.6354
O 0.1663 0.5000 0.4346
O 0.1816 0.3189 0.1575
O 0.1816 0.6811 0.1575
O 0.2301 0.5000 0.9595
O 0.2672 0.0000 0.9432
O 0.6342 0.5000 0.1179
O 0.6855 0.1832 0.8545
O 0.6855 0.8168 0.8545
O 0.7074 0.0000 0.5451
O 0.7237 0.5000 0.5569
O 0.7294 0.1852 0.3468
O 0.7294 0.8148 0.3468
O 0.7330 0.0000 0.0529

Main lines, low angle first (10 to 90 degrees two-theta):
index  two_theta  intensity
0 0 2  16.17  464
1 0 1  20.08  257
1 1 -1  23.71  773
1 1 1  23.98  867
1 0 -2  24.15  225
0 2 0  26.13  1000
1 0 3  30.88  341
1 1 -3  33.01  733
1 1 3  33.63  523
0 1 4  35.29  452


2.
This entry pairs a crystal structure of LiMn4Co2O12 with its simulated powder XRD pattern. Radiation: CuKα. Structure: a PBE+U-relaxed structure.
Intensities are scaled so that the largest is 1000.

Structural model:
Lattice parameters (Å, degrees): 4.9857 4.9860 10.1503 91.26 90.70 119.92
Fractional positions:
Li 0.0000 0.0000 0.0000
Mn 0.2909 0.6173 0.7529
Mn 0.5846 0.9215 0.2532
Mn 0.6245 0.2838 0.7529
Mn 0.9182 0.5879 0.2532
Co 0.2540 0.2573 0.2555
Co 0.9566 0.9492 0.7442
O 0.2410 0.9206 0.1548
O 0.2587 0.5943 0.3475
O 0.2847 0.2789 0.8491
O 0.2872 0.9429 0.6565
O 0.5788 0.5807 0.1561
O 0.5897 0.2632 0.3475
O 0.6157 0.6072 0.6564
O 0.6422 0.9578 0.8489
O 0.9187 0.2431 0.1548
O 0.9270 0.9316 0.3477
O 0.9514 0.2787 0.6565
O 0.9636 0.6361 0.8489

Main lines, low angle first (10 to 90 degrees two-theta):
index  two_theta  intensity
0 0 2  17.48  1000
2 -1 0  36.03  45
1 1 -1  36.81  53
1 -2 1  36.99  80
-1 2 1  37.30  80
1 1 1  37.42  52
1 1 -3  44.38  58
-1 2 3  45.69  49
1 1 3  45.94  54
3 -3 0  64.77  101


> Number 1 is which compound?

Li4MnSn3P4O16